No. 1
Theoretical PXRD pattern of Pr8Sm5Mg for a wavelength of 1.5418 Å, from the PBE geometry in Alexandria.
Lines closer than 0.1° are merged.

Structural model:
```
Pr8Sm5Mg
1.0
7.443 -4.580 0.000
7.443 4.580 0.000
-5.731 0.000 7.300
Pr Sm Mg
8 5 1
direct
0.073 0.073 0.427 Pr
0.213 0.323 0.960 Pr
0.467 0.190 0.356 Pr
0.528 0.003 0.658 Pr
0.677 0.787 0.040 Pr
0.810 0.533 0.644 Pr
0.927 0.927 0.573 Pr
0.997 0.472 0.342 Pr
0.082 0.918 0.000 Sm
0.328 0.494 0.756 Sm
0.506 0.672 0.244 Sm
0.689 0.210 0.125 Sm
0.790 0.311 0.875 Sm
0.338 0.662 0.500 Mg
```

Top 10 peaks for 2θ = 10–90°, most intense first:
d (Å)  2θ/deg  Rel. int.
2.828  31.63  100
2.835  31.55  89
2.931  30.50  69
2.901  30.83  51
2.850  31.38  47
3.589  24.80  37
2.955  30.25  32
2.676  33.49  25
2.997  29.81  22
3.260  27.36  22

No. 2
Theoretical PXRD pattern of Pr6Sm8Mg for a wavelength of 1.5418 Å, from the PBE geometry in Alexandria.
Lines closer than 0.1° are merged.

Structural model:
```
Pr6Sm8Mg
1.0
4.615 2.665 7.007
-4.615 2.665 7.007
0.000 -5.329 7.007
Pr Sm Mg
6 8 1
direct
0.045 0.739 0.595 Pr
0.261 0.405 0.955 Pr
0.405 0.955 0.261 Pr
0.595 0.045 0.739 Pr
0.739 0.595 0.045 Pr
0.955 0.261 0.405 Pr
0.077 0.077 0.077 Sm
0.213 0.254 0.610 Sm
0.254 0.610 0.213 Sm
0.390 0.787 0.746 Sm
0.610 0.213 0.254 Sm
0.746 0.390 0.787 Sm
0.787 0.746 0.390 Sm
0.923 0.923 0.923 Sm
0.500 0.500 0.500 Mg
```

Top 10 peaks for 2θ = 10–90°, most intense first:
d (Å)  2θ/deg  Rel. int.
2.901  30.82  100
2.991  29.88  39
2.811  31.83  30
2.790  32.08  18
1.693  54.17  16
2.491  36.06  14
1.756  52.07  12
1.731  52.88  12
2.619  34.23  10
3.726  23.88  9

No. 3
Theoretical PXRD pattern of Pr6Sm3Mg for a wavelength of 1.5418 Å, from the PBE geometry in Alexandria.
Lines closer than 0.1° are merged.

Structural model:
```
Pr6Sm3Mg
1.0
10.664 0.000 0.000
0.000 12.112 0.000
0.000 0.000 5.423
Pr Sm Mg
12 6 2
direct
0.070 0.248 0.000 Pr
0.174 0.081 0.500 Pr
0.213 0.388 0.500 Pr
0.287 0.888 0.000 Pr
0.326 0.581 0.000 Pr
0.430 0.748 0.500 Pr
0.570 0.252 0.500 Pr
0.674 0.419 0.000 Pr
0.713 0.112 0.000 Pr
0.787 0.612 0.500 Pr
0.826 0.919 0.500 Pr
0.930 0.752 0.000 Pr
0.000 0.500 0.000 Sm
0.119 0.719 0.500 Sm
0.381 0.219 0.000 Sm
0.500 0.000 0.500 Sm
0.619 0.781 0.000 Sm
0.881 0.281 0.500 Sm
0.000 0.000 0.000 Mg
0.500 0.500 0.500 Mg
```

Top 10 peaks for 2θ = 10–90°, most intense first:
d (Å)  2θ/deg  Rel. int.
3.099  28.81  100
2.887  30.97  60
2.973  30.06  59
2.712  33.04  51
2.633  34.05  25
1.889  48.18  21
3.238  27.54  19
3.219  27.71  18
2.566  34.96  17
1.630  56.44  16

No. 4
Theoretical PXRD pattern of Pr2Sm3Mg2 for a wavelength of 1.5418 Å, from the PBE geometry in Alexandria.
Lines closer than 0.1° are merged.

Structural model:
```
Pr2Sm3Mg2
1.0
1.907 -15.814 0.000
1.907 15.814 0.000
0.000 0.000 3.722
Pr Sm Mg
2 3 2
direct
0.204 0.796 0.000 Pr
0.796 0.204 0.000 Pr
0.078 0.922 0.000 Sm
0.500 0.500 0.500 Sm
0.922 0.078 0.000 Sm
0.361 0.639 0.500 Mg
0.639 0.361 0.500 Mg
```

Top 10 peaks for 2θ = 10–90°, most intense first:
d (Å)  2θ/deg  Rel. int.
2.914  30.68  100
2.654  33.77  79
2.710  33.06  53
3.040  29.38  36
1.568  58.88  31
1.653  55.60  30
3.587  24.82  26
3.722  23.91  25
2.295  39.26  23
3.163  28.22  22

No. 5
Theoretical PXRD pattern of PrSmMg17 for a wavelength of 1.5418 Å, from the PBE geometry in Alexandria.
Lines closer than 0.1° are merged.

Structural model:
```
PrSmMg17
1.0
5.140 2.967 5.082
-5.140 2.967 5.082
0.000 -5.935 5.082
Pr Sm Mg
1 1 17
direct
0.000 0.000 0.000 Pr
0.660 0.660 0.660 Sm
0.029 0.331 0.631 Mg
0.029 0.631 0.331 Mg
0.172 0.683 0.683 Mg
0.232 0.232 0.232 Mg
0.330 0.330 0.831 Mg
0.330 0.831 0.330 Mg
0.331 0.029 0.631 Mg
0.331 0.631 0.029 Mg
0.430 0.430 0.430 Mg
0.491 0.977 0.977 Mg
0.631 0.029 0.331 Mg
0.631 0.331 0.029 Mg
0.683 0.172 0.683 Mg
0.683 0.683 0.172 Mg
0.831 0.330 0.330 Mg
0.977 0.491 0.977 Mg
0.977 0.977 0.491 Mg
```

Top 10 peaks for 2θ = 10–90°, most intense first:
d (Å)  2θ/deg  Rel. int.
2.562  35.02  100
3.614  24.64  80
2.570  34.91  54
2.967  30.12  51
5.140  17.25  43
1.815  50.28  27
2.541  35.32  25
5.790  15.30  24
1.807  50.51  22
2.515  35.69  21

No. 6
Theoretical PXRD pattern of Pr5Sm2Mg2 for a wavelength of 1.5418 Å, from the PBE geometry in Alexandria.
Lines closer than 0.1° are merged.

Structural model:
```
Pr5Sm2Mg2
1.0
-8.175 5.403 3.404
8.175 -5.403 3.404
8.175 5.403 -3.404
Pr Sm Mg
10 4 4
direct
0.064 0.519 0.844 Pr
0.064 0.720 0.045 Pr
0.136 0.270 0.365 Pr
0.235 0.063 0.298 Pr
0.235 0.437 0.672 Pr
0.675 0.019 0.955 Pr
0.675 0.220 0.156 Pr
0.765 0.563 0.328 Pr
0.765 0.937 0.702 Pr
0.905 0.770 0.635 Pr
0.509 0.278 0.731 Sm
0.547 0.778 0.269 Sm
0.692 0.192 0.500 Sm
0.692 0.692 0.000 Sm
0.217 0.332 0.056 Mg
0.217 0.661 0.385 Mg
0.276 0.161 0.944 Mg
0.276 0.832 0.615 Mg
```

Top 10 peaks for 2θ = 10–90°, most intense first:
d (Å)  2θ/deg  Rel. int.
3.184  28.02  100
3.130  28.52  77
2.716  32.98  62
3.260  27.36  46
2.880  31.05  32
2.304  39.10  30
2.512  35.75  29
3.005  29.73  28
2.616  34.28  25
2.253  40.02  25